No. 1
# Mg2SnHg4
Computed powder XRD pattern, Cu Kα, 1.54184 Å. Input: a cell relaxed with GGA-PBE.

Structure:
```
data_Mg2SnHg4
_chemical_formula_sum 'Mg4 Sn2 Hg8'
_cell_length_a 4.8289
_cell_length_b 6.2905
_cell_length_c 11.7675
_cell_angle_alpha 104.31
_cell_angle_beta 90.22
_cell_angle_gamma 90.62
_symmetry_space_group_name_H-M 'P 1'
_symmetry_Int_Tables_number 1
_symmetry_space_group_name_Hall 'P 1'
loop_
_atom_site_label
_atom_site_fract_x
_atom_site_fract_y
_atom_site_fract_z
_atom_site_occupancy
Mg1 0.2475 0.1619 0.0570 1
Mg2 0.2465 0.7261 0.5565 1
Mg3 0.7535 0.2739 0.4435 1
Mg4 0.7525 0.8381 0.9430 1
Sn1 0.2535 0.6504 0.0671 1
Sn2 0.7465 0.3496 0.9329 1
Hg1 0.2363 0.4579 0.2918 1
Hg2 0.2482 0.9734 0.3281 1
Hg3 0.2539 0.9061 0.8145 1
Hg4 0.2562 0.2660 0.5878 1
Hg5 0.7438 0.7340 0.4122 1
Hg6 0.7461 0.0939 0.1855 1
Hg7 0.7518 0.0266 0.6719 1
Hg8 0.7637 0.5421 0.7082 1
```

Main lines, low angle first (10 to 90 degrees two-theta):
15.54°, rel. 25; 24.34°, rel. 39; 25.75°, rel. 35; 26.10°, rel. 52; 34.95°, rel. 68; 35.22°, rel. 62; 36.49°, rel. 66; 36.72°, rel. 100; 37.24°, rel. 67; 49.88°, rel. 21

---

No. 2
# Mg6SnHg5
Computed powder XRD pattern, Cu Kα, 1.54184 Å. Input: a cell relaxed with GGA-PBE.

Structure:
```
data_Mg6SnHg5
_chemical_formula_sum 'Mg6 Sn1 Hg5'
_cell_length_a 7.9134
_cell_length_b 7.9134
_cell_length_c 7.0544
_cell_angle_alpha 90.39
_cell_angle_beta 90.39
_cell_angle_gamma 143.60
_symmetry_space_group_name_H-M 'P 1'
_symmetry_Int_Tables_number 1
_symmetry_space_group_name_Hall 'P 1'
loop_
_atom_site_label
_atom_site_fract_x
_atom_site_fract_y
_atom_site_fract_z
_atom_site_occupancy
Mg1 0.0006 0.0006 0.2593 1
Mg2 0.3289 0.6694 0.2538 1
Mg3 0.3306 0.6711 0.7462 1
Mg4 0.6694 0.3289 0.2538 1
Mg5 0.6711 0.3306 0.7462 1
Mg6 0.9994 0.9994 0.7407 1
Sn1 0.5000 0.5000 0.0000 1
Hg1 0.1657 0.8343 0.0000 1
Hg2 0.1662 0.8338 0.5000 1
Hg3 0.5000 0.5000 0.5000 1
Hg4 0.8343 0.1657 0.0000 1
Hg5 0.8338 0.1662 0.5000 1
```

Main lines, low angle first (10 to 90 degrees two-theta):
25.29°, rel. 100; 35.79°, rel. 73; 36.35°, rel. 70; 44.33°, rel. 24; 51.98°, rel. 17; 58.27°, rel. 14; 59.01°, rel. 21; 64.35°, rel. 9; 64.68°, rel. 26; 65.77°, rel. 13

---

No. 3
# Mg4SnHg
Computed powder XRD pattern, Cu Kα, 1.54184 Å. Input: a cell relaxed with GGA-PBE.

Structure:
```
data_Mg4SnHg
_chemical_formula_sum 'Mg4 Sn1 Hg1'
_cell_length_a 4.7396
_cell_length_b 4.7396
_cell_length_c 8.3193
_cell_angle_alpha 106.47
_cell_angle_beta 106.47
_cell_angle_gamma 60.02
_symmetry_space_group_name_H-M 'P 1'
_symmetry_Int_Tables_number 1
_symmetry_space_group_name_Hall 'P 1'
loop_
_atom_site_label
_atom_site_fract_x
_atom_site_fract_y
_atom_site_fract_z
_atom_site_occupancy
Mg1 0.1221 0.1221 0.3660 1
Mg2 0.3732 0.3732 0.1209 1
Mg3 0.6268 0.6268 0.8791 1
Mg4 0.8779 0.8779 0.6340 1
Sn1 0.5000 0.5000 0.5000 1
Hg1 0.0000 0.0000 0.0000 1
```

Main lines, low angle first (10 to 90 degrees two-theta):
22.62°, rel. 34; 22.94°, rel. 100; 26.46°, rel. 32; 37.56°, rel. 50; 37.96°, rel. 48; 44.30°, rel. 20; 44.65°, rel. 35; 44.82°, rel. 18; 54.48°, rel. 17; 68.32°, rel. 17

---

No. 4
# Mg6Sn5Hg
Computed powder XRD pattern, Cu Kα, 1.54184 Å. Input: a cell relaxed with GGA-PBE.

Structure:
```
data_Mg6Sn5Hg
_chemical_formula_sum 'Mg6 Sn5 Hg1'
_cell_length_a 4.7137
_cell_length_b 8.3903
_cell_length_c 7.4991
_cell_angle_alpha 90.00
_cell_angle_beta 107.05
_cell_angle_gamma 90.00
_symmetry_space_group_name_H-M 'P 1'
_symmetry_Int_Tables_number 1
_symmetry_space_group_name_Hall 'P 1'
loop_
_atom_site_label
_atom_site_fract_x
_atom_site_fract_y
_atom_site_fract_z
_atom_site_occupancy
Mg1 0.0000 0.2440 0.0000 1
Mg2 0.0000 0.7560 0.0000 1
Mg3 0.3373 0.2486 0.6706 1
Mg4 0.3373 0.7514 0.6706 1
Mg5 0.6627 0.2486 0.3294 1
Mg6 0.6627 0.7514 0.3294 1
Sn1 0.1646 0.5000 0.3332 1
Sn2 0.1667 0.0000 0.3323 1
Sn3 0.5000 0.5000 0.0000 1
Sn4 0.8333 0.0000 0.6677 1
Sn5 0.8354 0.5000 0.6668 1
Hg1 0.5000 0.0000 0.0000 1
```

Main lines, low angle first (10 to 90 degrees two-theta):
21.18°, rel. 73; 26.26°, rel. 44; 26.86°, rel. 41; 33.98°, rel. 100; 34.45°, rel. 97; 37.64°, rel. 38; 38.20°, rel. 37; 43.13°, rel. 26; 43.59°, rel. 24; 44.08°, rel. 23

---

No. 5
# Mg12Sn6Hg
Computed powder XRD pattern, Cu Kα, 1.54184 Å. Input: a cell relaxed with GGA-PBE.

Structure:
```
data_Mg12Sn6Hg
_chemical_formula_sum 'Mg12 Sn6 Hg1'
_cell_length_a 8.2640
_cell_length_b 8.2640
_cell_length_c 8.2640
_cell_angle_alpha 99.80
_cell_angle_beta 99.80
_cell_angle_gamma 99.80
_symmetry_space_group_name_H-M 'P 1'
_symmetry_Int_Tables_number 1
_symmetry_space_group_name_Hall 'P 1'
loop_
_atom_site_label
_atom_site_fract_x
_atom_site_fract_y
_atom_site_fract_z
_atom_site_occupancy
Mg1 0.0336 0.8915 0.3199 1
Mg2 0.1085 0.6801 0.9664 1
Mg3 0.1780 0.4666 0.6160 1
Mg4 0.3199 0.0336 0.8915 1
Mg5 0.3840 0.8220 0.5334 1
Mg6 0.4666 0.6160 0.1780 1
Mg7 0.5334 0.3840 0.8220 1
Mg8 0.6160 0.1780 0.4666 1
Mg9 0.6801 0.9664 0.1085 1
Mg10 0.8220 0.5334 0.3840 1
Mg11 0.8915 0.3199 0.0336 1
Mg12 0.9664 0.1085 0.6801 1
Sn1 0.0581 0.7810 0.6439 1
Sn2 0.2190 0.3561 0.9419 1
Sn3 0.3561 0.9419 0.2190 1
Sn4 0.6439 0.0581 0.7810 1
Sn5 0.7810 0.6439 0.0581 1
Sn6 0.9419 0.2190 0.3561 1
Hg1 0.5000 0.5000 0.5000 1
```

Main lines, low angle first (10 to 90 degrees two-theta):
22.81°, rel. 100; 22.95°, rel. 33; 26.44°, rel. 32; 37.65°, rel. 49; 37.83°, rel. 49; 44.53°, rel. 52; 44.71°, rel. 17; 54.43°, rel. 17; 59.65°, rel. 15; 68.07°, rel. 17

---

No. 6
# MgSnHg2
Computed powder XRD pattern, Cu Kα, 1.54184 Å. Input: a cell relaxed with GGA-PBE.

Structure:
```
data_MgSnHg2
_chemical_formula_sum 'Mg1 Sn1 Hg2'
_cell_length_a 5.6118
_cell_length_b 5.6118
_cell_length_c 5.8155
_cell_angle_alpha 106.68
_cell_angle_beta 106.68
_cell_angle_gamma 33.60
_symmetry_space_group_name_H-M 'P 1'
_symmetry_Int_Tables_number 1
_symmetry_space_group_name_Hall 'P 1'
loop_
_atom_site_label
_atom_site_fract_x
_atom_site_fract_y
_atom_site_fract_z
_atom_site_occupancy
Mg1 0.0000 0.0000 0.0000 1
Sn1 0.5000 0.5000 0.5000 1
Hg1 0.2664 0.2664 0.7666 1
Hg2 0.7336 0.7336 0.2334 1
```

Main lines, low angle first (10 to 90 degrees two-theta):
17.30°, rel. 52; 31.77°, rel. 91; 34.45°, rel. 100; 35.02°, rel. 44; 38.35°, rel. 75; 41.40°, rel. 28; 55.54°, rel. 26; 59.80°, rel. 20; 63.60°, rel. 17; 67.55°, rel. 18